Entry 1:
Simulated X-ray diffraction stick pattern of Nd8SmHg6 for Cu Kα X-rays, from a PBE-relaxed structure.
Intensities are scaled so that the largest is 100.

Top 10 peaks for 10 to 80 degrees two-theta, in order of rising 2θ:
index  2θ (°)  Rel. int.
0 0 3  13.6  7
1 1 0  19.3  11
2 -1 3  23.7  8
3 0 0  33.8  100
3 0 3  36.6  4
2 2 6  48.5  19
1 1 12  60.3  9
3 3 0  60.4  29
4 -2 12  70.9  5
6 0 0  71.1  6

Crystal structure
a b c (Å): 9.1913 9.1913 19.5489
angles (deg): 90.00 90.00 120.00
Space group R-3 (No. 148, hexagonal axes)
Inequivalent atoms, fractional coordinates:
Nd (0.0000, 0.0000, 0.1660) (multiplicity 6)
Nd (0.0012, 0.3365, 0.3850) (multiplicity 18)
Sm (0.0000, 0.0000, 0.5000) (multiplicity 3)
Hg (0.9998, 0.3297, 0.5537) (multiplicity 18)

Entry 2:
Simulated X-ray diffraction stick pattern of YNi2Ag2 for Cu Kα X-rays, from a PBE-relaxed structure.
Intensities are scaled so that the largest is 100.

Top 10 peaks for 10 to 80 degrees two-theta, in order of rising 2θ:
index  2θ (°)  Rel. int.
0 0 2  15.4  12
0 0 4  31.0  13
1 0 3  32.6  15
1 1 2  35.8  100
1 1 4  45.3  21
1 0 5  45.6  18
2 0 0  46.1  36
2 1 5  66.8  11
2 2 0  67.3  11
3 1 2  78.6  19

Crystal structure
a b c (Å): 3.9364 3.9364 11.5373
angles (deg): 90.00 90.00 90.00
Space group I4/mmm (No. 139)
Inequivalent atoms, fractional coordinates:
Y (0.0000, 0.0000, 0.0000) (multiplicity 2)
Ni (0.0000, 0.0000, 0.4030) (multiplicity 4)
Ag (0.0000, 0.5000, 0.2500) (multiplicity 4)

Entry 3:
Simulated X-ray diffraction stick pattern of Mg2Sc5TcRu2 for Cu Kα X-rays, from a PBE-relaxed structure.
Intensities are scaled so that the largest is 100.

Top 10 peaks for 10 to 80 degrees two-theta, in order of rising 2θ:
index  2θ (°)  Rel. int.
2 0 0  16.1  15
2 1 0  18.1  67
3 1 0  25.6  20
2 2 1  35.4  17
4 2 0  36.6  15
3 1 1  37.3  100
3 2 1  40.0  33
5 2 0  44.4  13
4 4 0  46.8  14
0 0 2  54.8  12

Crystal structure
a b c (Å): 10.9848 10.9848 3.3485
angles (deg): 90.00 90.00 90.00
Space group P4/mbm (No. 127)
Inequivalent atoms, fractional coordinates:
Mg (0.1809, 0.3191, 0.0000) (multiplicity 4)
Sc (0.0000, 0.5000, 0.5000) (multiplicity 2)
Sc (0.0582, 0.8045, 0.5000) (multiplicity 8)
Tc (0.0000, 0.0000, 0.0000) (multiplicity 2)
Ru (0.1327, 0.6327, 0.0000) (multiplicity 4)

Entry 4:
Simulated X-ray diffraction stick pattern of ScTaTi for Cu Kα X-rays, from a PBE-relaxed structure.
Intensities are scaled so that the largest is 100.

Top 10 peaks for 10 to 80 degrees two-theta, in order of rising 2θ:
index  2θ (°)  Rel. int.
0 0 4  14.4  19
1 0 5  33.3  36
1 0 7  37.9  100
1 1 0  39.6  45
1 1 2  40.3  26
1 0 9  43.4  25
2 0 0  57.3  15
1 1 14  67.2  16
2 1 7  70.8  30
2 1 9  74.5  10

Crystal structure
a b c (Å): 3.2147 3.2147 24.6800
angles (deg): 90.00 90.00 90.00
Space group I4/mmm (No. 139)
Inequivalent atoms, fractional coordinates:
Sc (0.0000, 0.0000, 0.0667) (multiplicity 4)
Ta (0.0000, 0.0000, 0.2164) (multiplicity 4)
Ti (0.0000, 0.0000, 0.3508) (multiplicity 4)

Entry 5:
Simulated X-ray diffraction stick pattern of Tb2Pr5Y3 for Cu Kα X-rays, from a PBE-relaxed structure.
Intensities are scaled so that the largest is 100.

Top 10 peaks for 10 to 80 degrees two-theta, in order of rising 2θ:
index  2θ (°)  Rel. int.
0 0 2  20.6  15
2 2 1  29.0  84
2 4 -2  31.0  100
0 4 2  31.8  16
4 0 -2  33.0  42
0 2 3  33.4  17
0 6 3  48.5  20
6 4 -4  57.6  17
4 6 -5  59.9  21
2 4 4  61.6  23

Crystal structure
a b c (Å): 10.8678 14.8519 10.1933
angles (deg): 90.00 122.10 90.00
Space group C2/c (No. 15)
Inequivalent atoms, fractional coordinates:
Tb (0.1524, 0.1266, 0.0607) (multiplicity 8)
Pr (0.0000, 0.0152, 0.2500) (multiplicity 4)
Pr (0.0000, 0.2273, 0.2500) (multiplicity 4)
Pr (0.0000, 0.4771, 0.7500) (multiplicity 4)
Pr (0.2437, 0.3714, 0.2390) (multiplicity 8)
Y (0.0000, 0.2698, 0.7500) (multiplicity 4)
Y (0.1559, 0.3753, 0.5569) (multiplicity 8)

Entry 6:
Simulated X-ray diffraction stick pattern of Li2Pu2NpO6 for Cu Kα X-rays, from a PBE-relaxed structure.
Intensities are scaled so that the largest is 100.

Top 10 peaks for 10 to 80 degrees two-theta, in order of rising 2θ:
index  2θ (°)  Rel. int.
1 0 1  18.5  100
1 0 4  28.0  26
1 1 0  31.0  92
0 1 5  32.4  89
0 2 1  36.3  19
0 2 4  42.2  18
2 0 5  45.4  64
3 0 0  55.1  19
1 2 5  56.0  40
3 1 5  74.1  21

Crystal structure
a b c (Å): 5.7765 5.7765 16.5591
angles (deg): 90.00 90.00 120.00
Space group R-3m (No. 166, hexagonal axes)
Inequivalent atoms, fractional coordinates:
Li (0.0000, 0.0000, 0.0762) (multiplicity 6)
Pu (0.0000, 0.0000, 0.3015) (multiplicity 6)
Np (0.0000, 0.0000, 0.5000) (multiplicity 3)
O (0.0278, 0.5139, 0.2607) (multiplicity 18)